The following is a calculated powder XRD pattern of NaEuP2O7. It was derived from a cell relaxed with PBE, using Cu Kα, 1.54184 Å.
Intensities are scaled so that the largest is 100.

Cell and atoms:
```
data_NaEuP2O7
_chemical_formula_sum 'Na4 Eu4 P8 O28'
_symmetry_space_group_name_H-M 'P 1 21/c 1'
_symmetry_Int_Tables_number 14
_cell_length_a 5.3553
_cell_length_b 8.6167
_cell_length_c 13.7130
_cell_angle_alpha 90.00
_cell_angle_beta 111.61
_cell_angle_gamma 90.00
loop_
_symmetry_equiv_pos_as_xyz
'x,y,z'
'-x,-y,-z'
'-x,y+1/2,-z+1/2'
'x,-y+1/2,z+1/2'
loop_
_atom_site_label
_atom_site_fract_x
_atom_site_fract_y
_atom_site_fract_z
_atom_site_occupancy
Na1 0.1408 0.1155 0.4217 1
Eu1 0.4619 0.1948 0.7332 1
P1 0.0796 0.5060 0.3176 1
P2 0.2300 0.7429 0.9674 1
O1 0.0409 0.1599 0.5855 1
O2 0.1328 0.1679 0.8255 1
O3 0.1885 0.5744 0.4356 1
O4 0.2230 0.0426 0.2316 1
O5 0.2485 0.5773 0.2591 1
O6 0.3114 0.7398 0.0860 1
O7 0.4434 0.6767 0.9293 1
```

Largest 10 diffraction maxima, sorted by position, 2θ from 10° to 80°:
2θ (°)  d [Å]  I_rel  (hkl)
13.9  6.375  100  0 0 2
20.6  4.308  37  0 2 0
21.8  4.082  27  0 2 1
26.5  3.362  72  1 0 2
27.1  3.290  41  1 0 -4
27.4  3.258  54  1 2 0
27.6  3.234  48  1 2 -2
28.0  3.187  26  0 0 4
33.5  2.677  32  2 0 -2
42.5  2.125  55  0 4 1

The following is a calculated powder XRD pattern of Ho2Au5F21. It was derived from a cell relaxed with PBE, using Cu Kα, 1.54184 Å.
Intensities are scaled so that the largest is 100.

Cell and atoms:
```
data_Ho2Au5F21
_chemical_formula_sum 'Ho4 Au10 F42'
_symmetry_space_group_name_H-M 'P -1'
_symmetry_Int_Tables_number 2
_cell_length_a 8.0759
_cell_length_b 9.1485
_cell_length_c 12.0880
_cell_angle_alpha 89.22
_cell_angle_beta 89.00
_cell_angle_gamma 88.98
loop_
_symmetry_equiv_pos_as_xyz
'x,y,z'
'-x,-y,-z'
loop_
_atom_site_label
_atom_site_fract_x
_atom_site_fract_y
_atom_site_fract_z
_atom_site_occupancy
Ho1 0.1648 0.1827 0.0009 1
Ho2 0.1710 0.3168 0.4963 1
Au1 0.0595 0.5086 0.7910 1
Au2 0.0596 0.9850 0.7048 1
Au3 0.3263 0.7227 0.4055 1
Au4 0.3350 0.7766 0.0936 1
Au5 0.4814 0.7498 0.7544 1
F1 0.0000 0.0000 0.0000 1
F2 0.0000 0.5000 0.5000 1
F3 0.0259 0.1308 0.4175 1
F4 0.0505 0.3869 0.0862 1
F5 0.0832 0.1204 0.1884 1
F6 0.0837 0.7352 0.3868 1
F7 0.0891 0.3868 0.3111 1
F8 0.0929 0.7456 0.0907 1
F9 0.1645 0.1008 0.8190 1
F10 0.1866 0.4062 0.6740 1
F11 0.1997 0.0925 0.5976 1
F12 0.2018 0.4005 0.8961 1
F13 0.3025 0.7308 0.8627 1
F14 0.3152 0.7567 0.6403 1
F15 0.3226 0.9787 0.0298 1
F16 0.3275 0.5145 0.4582 1
F17 0.3324 0.9194 0.3450 1
F18 0.3442 0.2263 0.3619 1
F19 0.3553 0.5857 0.1638 1
F20 0.3576 0.2594 0.1227 1
F21 0.4242 0.1990 0.9010 1
F22 0.4316 0.2788 0.5766 1
```

Largest 10 diffraction maxima, sorted by position, 2θ from 10° to 80°:
2θ (°)  d [Å]  I_rel  (hkl)
22.2  4.010  36  1 2 0
22.5  3.949  35  1 -2 0
24.0  3.708  100  0 1 3
24.3  3.669  34  2 -1 0
24.6  3.625  36  0 2 -2
24.9  3.577  31  1 0 -3
26.4  3.379  39  2 0 2
26.8  3.330  43  1 1 -3
27.0  3.307  41  -1 2 2
48.8  1.868  24  3 2 4

The following is a calculated powder XRD pattern of Cu4PtO5. It was derived from a cell relaxed with PBE, using Cu Kα, 1.54184 Å.
Intensities are scaled so that the largest is 100.

Cell and atoms:
```
data_Cu4PtO5
_chemical_formula_sum 'Cu8 Pt2 O10'
_symmetry_space_group_name_H-M 'P 1 2/m 1'
_symmetry_Int_Tables_number 10
_cell_length_a 4.2378
_cell_length_b 5.1890
_cell_length_c 10.7716
_cell_angle_alpha 90.00
_cell_angle_beta 100.21
_cell_angle_gamma 90.00
loop_
_symmetry_equiv_pos_as_xyz
'x,y,z'
'-x,-y,-z'
'-x,y,-z'
'x,-y,z'
loop_
_atom_site_label
_atom_site_fract_x
_atom_site_fract_y
_atom_site_fract_z
_atom_site_occupancy
Cu1 0.0000 0.0000 0.0000 1
Cu2 0.0829 0.5000 0.1990 1
Cu3 0.2048 0.0000 0.3976 1
Cu4 0.3965 0.0000 0.8043 1
Cu5 0.5000 0.5000 0.0000 1
Pt1 0.3059 0.5000 0.6045 1
O1 0.0000 0.2434 0.5000 1
O2 0.2030 0.2488 0.9033 1
O3 0.3924 0.2454 0.2925 1
```

Largest 10 diffraction maxima, sorted by position, 2θ from 10° to 80°:
2θ (°)  d [Å]  I_rel  (hkl)
19.0  4.661  18  0 1 1
30.1  2.965  20  1 0 -3
34.3  2.615  100  1 1 2
34.6  2.594  33  0 2 0
34.8  2.576  94  1 1 -3
42.7  2.119  41  0 0 5
56.0  1.642  31  0 2 5
56.0  1.641  32  2 2 -1
72.4  1.305  20  3 1 1
73.4  1.291  20  3 1 -4

The following is a calculated powder XRD pattern of K2TlAsCl6. It was derived from a cell relaxed with PBE, using Cu Kα, 1.54184 Å.
Intensities are scaled so that the largest is 100.

Cell and atoms:
```
data_K2TlAsCl6
_chemical_formula_sum 'K8 Tl4 As4 Cl24'
_symmetry_space_group_name_H-M 'F m -3 m'
_symmetry_Int_Tables_number 225
_symmetry_space_group_name_Hall '-F 4 2 3'
_cell_length_a 11.0070
_cell_length_b 11.0070
_cell_length_c 11.0070
_cell_angle_alpha 90.00
_cell_angle_beta 90.00
_cell_angle_gamma 90.00
loop_
_atom_site_label
_atom_site_fract_x
_atom_site_fract_y
_atom_site_fract_z
_atom_site_occupancy
K1 0.2500 0.2500 0.2500 1
Tl1 0.0000 0.0000 0.0000 1
As1 0.0000 0.0000 0.5000 1
Cl1 0.0000 0.0000 0.2722 1
```

Largest 10 diffraction maxima, sorted by position, 2θ from 10° to 80°:
2θ (°)  d [Å]  I_rel  (hkl)
16.1  5.504  98  2 0 0
22.9  3.892  100  2 2 0
26.9  3.319  27  3 1 1
32.5  2.752  77  4 0 0
36.5  2.461  48  4 2 0
40.1  2.247  44  4 2 2
46.7  1.946  51  4 4 0
49.7  1.835  25  6 0 0
52.6  1.740  24  6 2 0
63.2  1.471  26  6 4 2

The following is a calculated powder XRD pattern of CeMgCu2. It was derived from a cell relaxed with PBE, using Cu Kα, 1.54184 Å.
Intensities are scaled so that the largest is 100.

Cell and atoms:
```
data_CeMgCu2
_chemical_formula_sum 'Ce2 Mg2 Cu4'
_symmetry_space_group_name_H-M 'P 63/m m c'
_symmetry_Int_Tables_number 194
_symmetry_space_group_name_Hall '-P 6c 2c'
_cell_length_a 4.6013
_cell_length_b 4.6013
_cell_length_c 8.4129
_cell_angle_alpha 90.00
_cell_angle_beta 90.00
_cell_angle_gamma 120.00
loop_
_atom_site_label
_atom_site_fract_x
_atom_site_fract_y
_atom_site_fract_z
_atom_site_occupancy
Ce1 0.3333 0.6667 0.2500 1
Mg1 0.0000 0.0000 0.0000 1
Cu1 0.3333 0.6667 0.5891 1
```

Largest 10 diffraction maxima, sorted by position, 2θ from 10° to 80°:
2θ (°)  d [Å]  I_rel  (hkl)
22.3  3.985  48  1 0 0
24.7  3.601  19  1 0 1
30.9  2.893  14  1 0 2
39.2  2.301  81  1 1 0
39.3  2.293  100  1 0 3
45.5  1.992  7  2 0 0
56.7  1.624  33  2 0 3
59.6  1.551  7  1 0 5
71.0  1.327  46  3 0 0
71.3  1.323  7  1 0 6

The following is a calculated powder XRD pattern of CeGa2Co3. It was derived from a cell relaxed with PBE, using Cu Kα, 1.54184 Å.
Intensities are scaled so that the largest is 100.

Cell and atoms:
```
data_CeGa2Co3
_chemical_formula_sum 'Ce3 Ga6 Co9'
_symmetry_space_group_name_H-M 'P -6 2 m'
_symmetry_Int_Tables_number 189
_symmetry_space_group_name_Hall 'P -6 -2'
_cell_length_a 8.6731
_cell_length_b 8.6731
_cell_length_c 4.1389
_cell_angle_alpha 90.00
_cell_angle_beta 90.00
_cell_angle_gamma 120.00
loop_
_atom_site_label
_atom_site_fract_x
_atom_site_fract_y
_atom_site_fract_z
_atom_site_occupancy
Ce1 0.0000 0.0000 0.0000 1
Ce2 0.3333 0.6667 0.5000 1
Ga1 0.0000 0.2748 0.5000 1
Ga2 0.0000 0.5063 0.0000 1
Co1 0.0000 0.6944 0.5000 1
Co2 0.1751 0.3522 0.0000 1
```

Largest 10 diffraction maxima, sorted by position, 2θ from 10° to 80°:
2θ (°)  d [Å]  I_rel  (hkl)
24.6  3.625  30  1 0 1
32.2  2.781  86  2 0 1
35.9  2.504  52  3 0 0
38.5  2.341  91  2 1 1
41.7  2.168  85  2 2 0
42.2  2.142  100  3 0 1
43.7  2.069  71  0 0 2
47.3  1.921  60  2 2 1
57.8  1.595  26  3 0 2
62.0  1.497  50  2 2 2